[1]
Computed PXRD pattern of Na7W8O24 for CuKα, from a GGA+U-relaxed structure.

Largest 8 diffraction maxima, low angle first, 2θ from 15° to 90°:
2θ = 22.57°, rel. 100, hkl 0 2 0
2θ = 32.13°, rel. 90, hkl 4 0 1
2θ = 46.08°, rel. 30, hkl 0 4 0
2θ = 51.90°, rel. 42, hkl 8 0 0
2θ = 57.29°, rel. 36, hkl 8 2 0
2θ = 67.22°, rel. 18, hkl 8 0 2
2θ = 71.90°, rel. 20, hkl 8 4 0
2θ = 76.47°, rel. 16, hkl 4 0 5

Structural model:
Lattice parameters (Å, degrees): 15.748 7.884 8.807 90.00 116.55 90.00
Space group C2/m (No. 12)
One atom of each set of equivalent atoms:
Na: 0.000 0.000 0.000 [2 per cell]
Na: 0.125 0.000 0.500 [4 per cell]
Na: 0.125 0.500 0.499 [4 per cell]
Na: 0.250 0.000 0.000 [4 per cell]
W: 0.062 0.251 0.751 [8 per cell]
W: 0.187 0.251 0.249 [8 per cell]
O: 0.000 0.250 0.500 [4 per cell]
O: 0.062 0.000 0.750 [4 per cell]
O: 0.063 0.248 0.252 [8 per cell]
O: 0.063 0.500 0.748 [4 per cell]
O: 0.126 0.248 0.000 [8 per cell]
O: 0.187 0.000 0.250 [4 per cell]
O: 0.188 0.250 0.750 [8 per cell]
O: 0.189 0.500 0.252 [4 per cell]
O: 0.250 0.250 0.500 [4 per cell]



[2]
Computed PXRD pattern of VBPb4O8 for CuKα, from a GGA+U-relaxed structure.

Largest 8 diffraction maxima, low angle first, 2θ from 15° to 90°:
2θ = 19.12°, rel. 30, hkl 0 1 2
2θ = 27.60°, rel. 74, hkl 2 0 2
2θ = 28.00°, rel. 70, hkl 2 0 -4
2θ = 28.73°, rel. 100, hkl 0 2 2
2θ = 30.74°, rel. 63, hkl 2 2 0
2θ = 30.86°, rel. 76, hkl 2 2 -2
2θ = 33.82°, rel. 28, hkl 4 0 -2
2θ = 48.23°, rel. 32, hkl 2 2 4

Structural model:
Lattice parameters (Å, degrees): 10.602 7.244 13.135 90.00 112.97 90.00
Space group P2_1/c (No. 14)
One atom of each set of equivalent atoms:
V: 0.102 0.245 0.402 [4 per cell]
B: 0.462 0.734 0.139 [4 per cell]
Pb: 0.144 0.730 0.434 [4 per cell]
Pb: 0.239 0.514 0.735 [4 per cell]
Pb: 0.247 0.010 0.704 [4 per cell]
Pb: 0.456 0.190 0.076 [4 per cell]
O: 0.053 0.666 0.094 [4 per cell]
O: 0.069 0.139 0.778 [4 per cell]
O: 0.181 0.099 0.009 [4 per cell]
O: 0.218 0.063 0.418 [4 per cell]
O: 0.297 0.712 0.337 [4 per cell]
O: 0.322 0.750 0.117 [4 per cell]
O: 0.468 0.089 0.295 [4 per cell]
O: 0.476 0.132 0.903 [4 per cell]



Copy entry 1 word for word.
Computed PXRD pattern of Na7W8O24 for CuKα, from a GGA+U-relaxed structure.

Largest 8 diffraction maxima, low angle first, 2θ from 15° to 90°:
2θ = 22.57°, rel. 100, hkl 0 2 0
2θ = 32.13°, rel. 90, hkl 4 0 1
2θ = 46.08°, rel. 30, hkl 0 4 0
2θ = 51.90°, rel. 42, hkl 8 0 0
2θ = 57.29°, rel. 36, hkl 8 2 0
2θ = 67.22°, rel. 18, hkl 8 0 2
2θ = 71.90°, rel. 20, hkl 8 4 0
2θ = 76.47°, rel. 16, hkl 4 0 5

Structural model:
Lattice parameters (Å, degrees): 15.748 7.884 8.807 90.00 116.55 90.00
Space group C2/m (No. 12)
One atom of each set of equivalent atoms:
Na: 0.000 0.000 0.000 [2 per cell]
Na: 0.125 0.000 0.500 [4 per cell]
Na: 0.125 0.500 0.499 [4 per cell]
Na: 0.250 0.000 0.000 [4 per cell]
W: 0.062 0.251 0.751 [8 per cell]
W: 0.187 0.251 0.249 [8 per cell]
O: 0.000 0.250 0.500 [4 per cell]
O: 0.062 0.000 0.750 [4 per cell]
O: 0.063 0.248 0.252 [8 per cell]
O: 0.063 0.500 0.748 [4 per cell]
O: 0.126 0.248 0.000 [8 per cell]
O: 0.187 0.000 0.250 [4 per cell]
O: 0.188 0.250 0.750 [8 per cell]
O: 0.189 0.500 0.252 [4 per cell]
O: 0.250 0.250 0.500 [4 per cell]